[1]
Calculated powder X-ray diffraction pattern
Compound: Hf2SiOs2
Radiation: copper Kα
Structure: a DFT-relaxed cell (PBE, Alexandria)
Intensities are scaled so that the largest is 100.

Top 8 peaks for 2θ from 10° to 90°, in order of rising 2θ:
4.425 Å, 20.1 deg, rel. 14.6; 3.129 Å, 28.5 deg, rel. 13.7; 2.372 Å, 37.9 deg, rel. 100.0; 2.236 Å, 40.3 deg, rel. 21.4; 1.979 Å, 45.9 deg, rel. 15.4; 1.482 Å, 62.7 deg, rel. 12.2; 1.437 Å, 64.9 deg, rel. 13.7; 1.316 Å, 71.7 deg, rel. 15.8

Cell: 6.258 6.258 4.472 Å, 90.00 90.00 90.00°
Positions (direct):
Hf 0.180 0.320 0.000
Hf 0.320 0.820 0.000
Hf 0.680 0.180 0.000
Hf 0.820 0.680 0.000
Si 0.000 0.000 0.500
Si 0.500 0.500 0.500
Os 0.141 0.641 0.500
Os 0.359 0.141 0.500
Os 0.641 0.859 0.500
Os 0.859 0.359 0.500

---

[2]
Calculated powder X-ray diffraction pattern
Compound: Hf12Sn6Os
Radiation: copper Kα
Structure: a DFT-relaxed cell (PBE, Alexandria)
Intensities are scaled so that the largest is 100.

Top 8 peaks for 2θ from 10° to 90°, in order of rising 2θ:
3.741 Å, 23.8 deg, rel. 26.0; 2.655 Å, 33.8 deg, rel. 43.4; 2.577 Å, 34.8 deg, rel. 100.0; 2.532 Å, 35.4 deg, rel. 20.0; 2.259 Å, 39.9 deg, rel. 19.9; 2.210 Å, 40.8 deg, rel. 49.8; 1.686 Å, 54.4 deg, rel. 20.9; 1.567 Å, 58.9 deg, rel. 19.9

Cell: 7.914 7.914 7.914 Å, 100.34 100.34 100.34°
Positions (direct):
Hf 0.013 0.326 0.064
Hf 0.064 0.013 0.326
Hf 0.216 0.402 0.518
Hf 0.326 0.064 0.013
Hf 0.402 0.518 0.216
Hf 0.482 0.784 0.598
Hf 0.518 0.216 0.402
Hf 0.598 0.482 0.784
Hf 0.674 0.936 0.987
Hf 0.784 0.598 0.482
Hf 0.936 0.987 0.674
Hf 0.987 0.674 0.936
Sn 0.109 0.665 0.334
Sn 0.334 0.109 0.665
Sn 0.335 0.666 0.891
Sn 0.665 0.334 0.109
Sn 0.666 0.891 0.335
Sn 0.891 0.335 0.666
Os 0.000 0.000 0.000

---

[3]
Calculated powder X-ray diffraction pattern
Compound: HfTcOs2
Radiation: copper Kα
Structure: a DFT-relaxed cell (PBE, Alexandria)
Intensities are scaled so that the largest is 100.

Top 8 peaks for 2θ from 10° to 90°, in order of rising 2θ:
3.663 Å, 24.3 deg, rel. 3.2; 3.172 Å, 28.1 deg, rel. 2.7; 2.243 Å, 40.2 deg, rel. 100.0; 1.913 Å, 47.5 deg, rel. 1.7; 1.586 Å, 58.2 deg, rel. 17.1; 1.419 Å, 65.8 deg, rel. 1.1; 1.295 Å, 73.1 deg, rel. 34.8; 1.121 Å, 86.9 deg, rel. 11.4

Cell: 4.486 4.486 4.486 Å, 60.00 60.00 60.00°
Positions (direct):
Hf 0.000 0.000 0.000
Tc 0.500 0.500 0.500
Os 0.250 0.250 0.250
Os 0.750 0.750 0.750

---

[4]
Calculated powder X-ray diffraction pattern
Compound: Hf6Tc5Os
Radiation: copper Kα
Structure: a DFT-relaxed cell (PBE, Alexandria)
Intensities are scaled so that the largest is 100.

Top 8 peaks for 2θ from 10° to 90°, in order of rising 2θ:
3.261 Å, 27.4 deg, rel. 5.4; 2.306 Å, 39.1 deg, rel. 100.0; 1.632 Å, 56.4 deg, rel. 11.5; 1.628 Å, 56.5 deg, rel. 5.7; 1.332 Å, 70.7 deg, rel. 23.2; 1.330 Å, 70.8 deg, rel. 11.6; 1.154 Å, 83.9 deg, rel. 3.7; 1.152 Å, 84.0 deg, rel. 7.4

Cell: 7.991 7.991 7.991 Å, 146.44 131.92 59.91°
Positions (direct):
Hf 0.084 0.334 0.750
Hf 0.250 0.000 0.250
Hf 0.417 0.666 0.750
Hf 0.583 0.334 0.250
Hf 0.750 0.000 0.750
Hf 0.916 0.666 0.250
Tc 0.166 0.166 0.000
Tc 0.333 0.833 0.500
Tc 0.500 0.500 0.000
Tc 0.667 0.167 0.500
Tc 0.834 0.834 0.000
Os 0.000 0.500 0.500

---

[5]
Calculated powder X-ray diffraction pattern
Compound: HfTi5Os6
Radiation: copper Kα
Structure: a DFT-relaxed cell (PBE, Alexandria)
Intensities are scaled so that the largest is 100.

Top 8 peaks for 2θ from 10° to 90°, in order of rising 2θ:
3.121 Å, 28.6 deg, rel. 27.1; 2.207 Å, 40.9 deg, rel. 100.0; 1.802 Å, 50.7 deg, rel. 8.0; 1.562 Å, 59.2 deg, rel. 11.2; 1.397 Å, 67.0 deg, rel. 7.2; 1.275 Å, 74.4 deg, rel. 22.6; 1.273 Å, 74.5 deg, rel. 11.2; 1.103 Å, 88.7 deg, rel. 7.4

Cell: 7.646 7.646 7.646 Å, 146.41 131.89 59.96°
Positions (direct):
Hf 0.000 0.000 0.000
Ti 0.168 0.668 0.500
Ti 0.333 0.333 0.000
Ti 0.500 0.000 0.500
Ti 0.667 0.667 0.000
Ti 0.832 0.332 0.500
Os 0.084 0.831 0.253
Os 0.257 0.500 0.757
Os 0.422 0.169 0.253
Os 0.578 0.831 0.747
Os 0.743 0.500 0.243
Os 0.916 0.169 0.747

---

[6]
Calculated powder X-ray diffraction pattern
Compound: HfTlOs
Radiation: copper Kα
Structure: a DFT-relaxed cell (PBE, Alexandria)
Intensities are scaled so that the largest is 100.

Top 8 peaks for 2θ from 10° to 90°, in order of rising 2θ:
2.693 Å, 33.3 deg, rel. 23.6; 2.423 Å, 37.1 deg, rel. 32.7; 2.385 Å, 37.7 deg, rel. 100.0; 2.351 Å, 38.3 deg, rel. 30.9; 1.994 Å, 45.5 deg, rel. 18.1; 1.471 Å, 63.2 deg, rel. 12.6; 1.391 Å, 67.3 deg, rel. 14.7; 1.318 Å, 71.6 deg, rel. 15.4

Cell: 3.285 7.682 7.682 Å, 142.26 90.00 90.00°
Positions (direct):
Hf 0.000 0.178 0.822
Hf 0.000 0.822 0.178
Tl 0.000 0.674 0.674
Tl 0.500 0.182 0.182
Os 0.500 0.319 0.673
Os 0.500 0.673 0.319

---

Number 4 is which compound? Hf6Tc5Os

---

Repeat the fifth record exactly.
Calculated powder X-ray diffraction pattern
Compound: HfTi5Os6
Radiation: copper Kα
Structure: a DFT-relaxed cell (PBE, Alexandria)
Intensities are scaled so that the largest is 100.

Top 8 peaks for 2θ from 10° to 90°, in order of rising 2θ:
3.121 Å, 28.6 deg, rel. 27.1; 2.207 Å, 40.9 deg, rel. 100.0; 1.802 Å, 50.7 deg, rel. 8.0; 1.562 Å, 59.2 deg, rel. 11.2; 1.397 Å, 67.0 deg, rel. 7.2; 1.275 Å, 74.4 deg, rel. 22.6; 1.273 Å, 74.5 deg, rel. 11.2; 1.103 Å, 88.7 deg, rel. 7.4

Cell: 7.646 7.646 7.646 Å, 146.41 131.89 59.96°
Positions (direct):
Hf 0.000 0.000 0.000
Ti 0.168 0.668 0.500
Ti 0.333 0.333 0.000
Ti 0.500 0.000 0.500
Ti 0.667 0.667 0.000
Ti 0.832 0.332 0.500
Os 0.084 0.831 0.253
Os 0.257 0.500 0.757
Os 0.422 0.169 0.253
Os 0.578 0.831 0.747
Os 0.743 0.500 0.243
Os 0.916 0.169 0.747